The following is a simulated powder X-ray diffraction pattern of BaCrInF6. It was derived from a PBE+U-relaxed structure, using Cu Ka.
Peak positions follow from Bragg's law for the DFT cell and can differ from measured ones.

Structure:
Cell lengths 5.8638, 5.8638, 4.7428 Å; angles 90.00, 90.00, 120.00 degrees
Space group P3 (No. 143)
Unique sites:
Ba (0.0000, 0.0000, 0.0000) (multiplicity 1)
Cr (0.6667, 0.3333, 0.6805) (multiplicity 1)
In (0.3333, 0.6667, 0.4602) (multiplicity 1)
F (0.3345, 0.1689, 0.4693) (multiplicity 3)
F (0.5059, 0.0162, 0.9119) (multiplicity 3)

Largest 10 diffraction maxima, by angle, 2θ = 15–90°:
| 2θ/deg | intensity | (hkl) |
| --- | --- | --- |
| 25.70 | 100 | 0 1 1 |
| 30.49 | 58 | 1 1 0 |
| 37.94 | 13 | 0 0 2 |
| 40.29 | 77 | 2 0 1 |
| 42.05 | 18 | 1 0 2 |
| 49.43 | 13 | 1 1 2 |
| 51.35 | 29 | 3 -2 1 |
| 52.82 | 16 | 0 2 2 |
| 63.46 | 15 | 2 2 0 |
| 69.64 | 12 | 3 1 1 |